Record 1
AcTb7Er3: simulated powder diffractogram (Cu Ka), based on the GGA-PBE geometry in Alexandria.

Principal peaks in the range 2θ from 10° to 90°, by angle:
2θ/deg, intensity, (hkl)
30.8, 100, 2 0 1
31.0, 32, 0 0 3
35.8, 67, 0 2 2
51.4, 24, 2 2 0
51.6, 24, 2 0 4
61.1, 14, 0 4 1
61.2, 28, 2 2 3
61.5, 14, 0 2 5
64.2, 12, 4 0 2
83.8, 12, 4 2 1

Cell and atoms:
```
data_AcTb7Er3
_cell_length_a 7.1168
_cell_length_b 7.1168
_cell_length_c 8.6511
_cell_angle_alpha 90.00
_cell_angle_beta 90.00
_cell_angle_gamma 120.00
_symmetry_space_group_name_H-M 'P 3 m 1'
_symmetry_Int_Tables_number 156
_symmetry_space_group_name_Hall 'P 3 -2"'
loop_
_atom_site_label
_atom_site_fract_x
_atom_site_fract_y
_atom_site_fract_z
Ac1 0.0000 0.0000 0.0000
Tb1 0.0028 0.5014 0.9960
Tb2 0.3326 0.1663 0.3343
Tb3 0.3333 0.6667 0.3284
Er1 0.1687 0.3375 0.6589
```

***

Record 2
Sr2Cu2O3: simulated powder diffractogram (Cu Ka), based on the GGA-PBE geometry in Alexandria.

Principal peaks in the range 2θ from 10° to 90°, by angle:
2θ/deg, intensity, (hkl)
11.9, 100, 0 0 2
15.4, 11, 0 2 0
28.5, 24, 0 2 4
28.9, 18, 1 1 3
32.2, 35, 1 3 1
37.8, 25, 1 1 5
39.5, 16, 0 4 4
43.1, 10, 2 0 0
54.9, 9, 1 5 5
59.9, 9, 2 4 4

Cell and atoms:
```
data_Sr2Cu2O3
_cell_length_a 4.195
_cell_length_b 11.509
_cell_length_c 14.911
_cell_angle_alpha 90.00
_cell_angle_beta 90.00
_cell_angle_gamma 90.00
_symmetry_space_group_name_H-M 'F m m m'
_symmetry_Int_Tables_number 69
_symmetry_space_group_name_Hall '-F 2 2'
loop_
_atom_site_label
_atom_site_fract_x
_atom_site_fract_y
_atom_site_fract_z
Sr1 0.000 0.000 0.106
Cu1 0.000 0.170 0.500
O1 0.000 0.000 0.500
O2 0.000 0.161 0.000
```